(1)
Calculated X-ray powder pattern
Compound: Pm5MgIn4
Radiation: Cu Kα (weighted mean of Kα1 and Kα2)
Structure: the GGA-PBE geometry in Alexandria

Structural model:
```
data_Pm5MgIn4
_symmetry_space_group_name_H-M 'P 4/m m m'
_symmetry_Int_Tables_number 123
_symmetry_space_group_name_Hall '-P 4 2'
_cell_length_a 3.8505
_cell_length_b 3.8505
_cell_length_c 19.2941
_cell_angle_alpha 90.00
_cell_angle_beta 90.00
_cell_angle_gamma 90.00
loop_
_atom_site_label
_atom_site_fract_x
_atom_site_fract_y
_atom_site_fract_z
_atom_site_occupancy
Pm1 0.0000 0.0000 0.0000 1
Pm2 0.0000 0.0000 0.2004 1
Pm3 0.0000 0.0000 0.4008 1
Mg1 0.5000 0.5000 0.5000 1
In1 0.5000 0.5000 0.1001 1
In2 0.5000 0.5000 0.3029 1
```

Top 10 peaks for 10 to 90 degrees two-theta, low angle first:
2theta	I (rel.)
23.08	47
32.87	1000
47.10	60
47.21	120
53.15	21
58.69	372
68.93	114
78.38	53
78.55	106
87.74	41



(2)
Calculated X-ray powder pattern
Compound: Ho2TiCdO6
Radiation: Cu Kα (weighted mean of Kα1 and Kα2)
Structure: the GGA-PBE geometry in Alexandria

Structural model:
```
data_Ho2TiCdO6
_symmetry_space_group_name_H-M 'P 4 m m'
_symmetry_Int_Tables_number 99
_cell_length_a 5.2601
_cell_length_b 5.2601
_cell_length_c 5.2645
_cell_angle_alpha 90.00
_cell_angle_beta 90.00
_cell_angle_gamma 90.00
loop_
_symmetry_equiv_pos_as_xyz
'x,y,z'
'-y,x,z'
'-x,-y,z'
'y,-x,z'
'-x,y,z'
'y,x,z'
'x,-y,z'
'-y,-x,z'
loop_
_atom_site_label
_atom_site_fract_x
_atom_site_fract_y
_atom_site_fract_z
_atom_site_occupancy
Ho1 0.0000 0.5000 0.0000 1
Ti1 0.0000 0.0000 0.6215 1
Cd1 0.5000 0.5000 0.5524 1
O1 0.0000 0.0000 0.2714 1
O2 0.2364 0.2364 0.7691 1
O3 0.5000 0.5000 0.1557 1
```

Top 10 peaks for 10 to 90 degrees two-theta, low angle first:
2theta	I (rel.)
16.84	258
23.92	90
29.40	1000
34.08	424
38.25	119
42.05	158
48.97	442
58.15	393
79.39	142
81.89	112



(3)
Calculated X-ray powder pattern
Compound: Cu2TePd5
Radiation: Cu Kα (weighted mean of Kα1 and Kα2)
Structure: the GGA-PBE geometry in Alexandria

Structural model:
```
data_Cu2TePd5
_symmetry_space_group_name_H-M 'F m m 2'
_symmetry_Int_Tables_number 42
_symmetry_space_group_name_Hall 'F 2 -2'
_cell_length_a 7.4435
_cell_length_b 8.1538
_cell_length_c 8.1538
_cell_angle_alpha 90.00
_cell_angle_beta 90.00
_cell_angle_gamma 90.00
loop_
_atom_site_label
_atom_site_fract_x
_atom_site_fract_y
_atom_site_fract_z
_atom_site_occupancy
Cu1 0.0000 0.2503 0.0000 1
Te1 0.0000 0.0000 0.2502 1
Pd1 0.0000 0.0000 0.7494 1
Pd2 0.2494 0.0000 0.9999 1
Pd3 0.2500 0.2500 0.2499 1
```

Top 10 peaks for 10 to 90 degrees two-theta, low angle first:
2theta	I (rel.)
21.80	32
32.58	23
39.54	1000
44.44	356
48.95	134
56.18	10
64.67	113
68.24	191
78.52	254
85.14	208



(4)
Calculated X-ray powder pattern
Compound: Na2SrCeI8
Radiation: Cu Kα (weighted mean of Kα1 and Kα2)
Structure: the GGA-PBE geometry in Alexandria

Structural model:
```
data_Na2SrCeI8
_symmetry_space_group_name_H-M 'P 1 2/m 1'
_symmetry_Int_Tables_number 10
_cell_length_a 7.3842
_cell_length_b 9.5417
_cell_length_c 7.8094
_cell_angle_alpha 90.00
_cell_angle_beta 93.54
_cell_angle_gamma 90.00
loop_
_symmetry_equiv_pos_as_xyz
'x,y,z'
'-x,-y,-z'
'-x,y,-z'
'x,-y,z'
loop_
_atom_site_label
_atom_site_fract_x
_atom_site_fract_y
_atom_site_fract_z
_atom_site_occupancy
Na1 0.0000 0.2386 0.0000 1
Sr1 0.5000 0.0000 0.5000 1
Ce1 0.5000 0.5000 0.5000 1
I1 0.2366 0.0000 0.1617 1
I2 0.2475 0.5000 0.1779 1
I3 0.2686 0.2731 0.6529 1
```

Top 10 peaks for 10 to 90 degrees two-theta, low angle first:
2theta	I (rel.)
24.15	271
24.65	1000
25.18	252
25.34	429
26.52	477
32.24	354
33.32	253
37.71	237
39.49	459
43.65	235



(5)
Calculated X-ray powder pattern
Compound: LaZnH2O
Radiation: Cu Kα (weighted mean of Kα1 and Kα2)
Structure: the GGA-PBE geometry in Alexandria

Structural model:
```
data_LaZnH2O
_symmetry_space_group_name_H-M 'C 1 m 1'
_symmetry_Int_Tables_number 8
_cell_length_a 7.1331
_cell_length_b 3.8017
_cell_length_c 5.8814
_cell_angle_alpha 90.00
_cell_angle_beta 94.06
_cell_angle_gamma 90.00
loop_
_symmetry_equiv_pos_as_xyz
'x,y,z'
'x,-y,z'
'x+1/2,y+1/2,z'
'x+1/2,-y+1/2,z'
loop_
_atom_site_label
_atom_site_fract_x
_atom_site_fract_y
_atom_site_fract_z
_atom_site_occupancy
La1 0.0000 0.0000 0.0000 1
Zn1 0.0969 0.5000 0.5302 1
H1 0.0500 0.0000 0.5729 1
H2 0.1583 0.5000 0.2557 1
O1 0.3227 0.0000 0.9822 1
```

Top 10 peaks for 10 to 90 degrees two-theta, low angle first:
2theta	I (rel.)
15.10	393
25.03	441
26.58	165
28.40	172
30.26	1000
30.47	500
31.16	718
38.37	185
45.05	240
55.16	172



(6)
Calculated X-ray powder pattern
Compound: Cs5Te3
Radiation: Cu Kα (weighted mean of Kα1 and Kα2)
Structure: the GGA-PBE geometry in Alexandria

Structural model:
```
data_Cs5Te3
_symmetry_space_group_name_H-M 'I 4/m'
_symmetry_Int_Tables_number 87
_symmetry_space_group_name_Hall '-I 4'
_cell_length_a 15.0663
_cell_length_b 15.0663
_cell_length_c 7.1552
_cell_angle_alpha 90.00
_cell_angle_beta 90.00
_cell_angle_gamma 90.00
loop_
_atom_site_label
_atom_site_fract_x
_atom_site_fract_y
_atom_site_fract_z
_atom_site_occupancy
Cs1 0.0000 0.5000 0.2500 1
Cs2 0.0877 0.7842 0.0000 1
Cs3 0.0918 0.2254 0.5000 1
Te1 0.0000 0.0000 0.3028 1
Te2 0.1544 0.3427 0.0000 1
```

Top 10 peaks for 10 to 90 degrees two-theta, low angle first:
2theta	I (rel.)
24.67	802
24.89	243
26.46	883
27.41	1000
27.60	522
30.09	326
34.42	322
34.58	201
45.41	253
50.59	236